Structure and computed PXRD pattern of VF5 (a cell relaxed with PBE+U; a wavelength of 1.5418 Å).
Lines closer than 0.1° are merged.

abc: 9.849 5.031 8.354
angles: 90.00 115.17 90.00
Space group Cc (No. 9)
Symmetry-distinct sites (fractional):
1 V 0.000 0.040 0.000 x4
2 F 0.001 0.184 0.190 x4
3 F 0.086 0.280 0.919 x4
4 F 0.172 0.136 0.578 x4
5 F 0.328 0.357 0.329 x4
6 F 0.413 0.228 0.990 x4

The 10 most intense peaks (2θ = 10–90°), most intense first:
d/Å, 2θ/deg, I (rel.), (hkl)
4.382, 20.27, 100, 1 1 0
3.782, 23.52, 74, 0 0 2
4.457, 19.92, 58, 2 0 0
3.214, 27.76, 39, 1 1 -2
2.414, 37.25, 26, 1 1 -3
2.192, 41.19, 26, 3 1 1
2.232, 40.41, 23, 2 2 -1
2.607, 34.40, 17, 3 1 -2
1.886, 48.27, 15, 3 1 -4
1.745, 52.44, 15, 4 2 -2